[1]
Starting from a crystal structure in Alexandria, relaxed with PBE, the powder XRD pattern of PmGaRhO6 was calculated for Cu Kα X-rays.
Neutral-atom scattering factors, no anomalous dispersion.

Crystal structure
```
PmGaRhO6
1.0
5.189 0.000 0.000
-2.594 4.494 0.000
0.000 0.000 10.088
Pm Ga Rh O
2 2 2 12
direct
0.000 0.000 0.000
0.000 0.000 0.500
0.333 0.667 0.250
0.667 0.333 0.750
0.333 0.667 0.750
0.667 0.333 0.250
0.006 0.369 0.642
0.006 0.637 0.858
0.363 0.369 0.858
0.363 0.994 0.642
0.369 0.006 0.142
0.369 0.363 0.358
0.631 0.637 0.642
0.631 0.994 0.858
0.637 0.006 0.358
0.637 0.631 0.142
0.994 0.363 0.142
0.994 0.631 0.358
```

Principal peaks in the range 2θ from 15° to 90°, by intensity:
index, two_theta, Rel. int.
1 0 2, 26.57, 100
1 1 4, 50.47, 40
1 1 0, 34.57, 34
2 0 2, 44.12, 24
2 1 2, 57.23, 23
3 0 0, 61.95, 12
1 0 6, 58.62, 10
4 -1 2, 79.16, 9
3 -1 6, 80.36, 9
4 -2 4, 83.87, 8
0 0 4, 35.60, 7
3 0 4, 73.54, 7

=====

[2]
Starting from a crystal structure in Alexandria, relaxed with PBE, the powder XRD pattern of Pm2GaSbO6 was calculated for Cu Kα X-rays.
Neutral-atom scattering factors, no anomalous dispersion.

Crystal structure
```
Pm2GaSbO6
1.0
5.412 0.000 0.000
0.000 5.412 0.000
0.000 0.000 5.266
Pm Ga Sb O
2 1 1 6
direct
0.000 0.500 0.000
0.500 0.000 0.000
0.000 0.000 0.579
0.500 0.500 0.623
0.000 0.000 0.227
0.233 0.233 0.737
0.233 0.767 0.737
0.500 0.500 0.035
0.767 0.233 0.737
0.767 0.767 0.737
```

Principal peaks in the range 2θ from 15° to 90°, by intensity:
index, two_theta, Rel. int.
1 1 1, 28.84, 100
2 0 0, 33.10, 38
3 1 1, 56.54, 30
0 0 1, 16.84, 26
2 0 2, 48.22, 24
2 2 0, 47.52, 22
1 1 2, 41.64, 20
3 1 2, 64.99, 10
2 0 3, 63.14, 10
0 0 2, 34.05, 10
2 2 2, 59.74, 8
4 2 2, 89.03, 8